Simulated powder XRD pattern of CrN2 for Cu Kα X-rays, from a GGA-PBE-relaxed structure.

Peak list (8 most intense, 5° ≤ 2θ ≤ 70°, sorted by position)
2theta	I/Imax
6.80	72
7.19	93
8.10	64
18.62	100
21.46	24
21.68	27
23.15	16
31.32	28

Structural model:
```
42
Lattice="13.767 -2.854 0.000 13.767 2.854 0.000 -4.313 0.000 12.298" Properties=species:S:1:pos:R:3 pbc="T T T"
Cr -0.044 0.000 5.019
Cr -0.957 0.000 8.211
Cr 4.607 0.000 8.778
Cr 3.515 0.000 12.040
Cr 6.431 0.000 4.469
Cr 9.279 0.000 2.612
Cr 7.737 0.000 7.642
Cr 15.485 0.000 4.656
Cr 13.942 0.000 9.686
Cr 16.791 0.000 7.829
Cr 19.706 0.000 0.258
Cr 18.614 0.000 3.520
Cr 24.178 0.000 4.087
Cr 23.265 0.000 7.279
N 17.704 -1.455 7.998
N 6.884 1.427 0.000
N 5.518 1.455 4.300
N -2.604 0.000 7.803
N -0.037 0.000 6.745
N 10.043 1.455 3.129
N 8.685 1.451 7.846
N 4.155 0.000 10.428
N 7.712 0.000 3.337
N 14.537 1.451 4.452
N 7.176 0.000 6.050
N 13.179 1.455 9.169
N 6.340 0.000 8.668
N 9.124 0.000 0.891
N 17.704 1.455 7.998
N 6.884 -1.427 0.000
N 5.518 -1.455 4.300
N 14.097 0.000 11.407
N 16.881 0.000 3.630
N 10.043 -1.455 3.129
N 16.046 0.000 6.248
N 8.685 -1.451 7.846
N 15.510 0.000 8.961
N 19.067 0.000 1.869
N 14.537 -1.451 4.452
N 13.179 -1.455 9.169
N 23.258 0.000 5.553
N 25.826 0.000 4.495
```

***

Simulated powder XRD pattern of SiH12C2N2F6 for Cu Kα X-rays, from a GGA-PBE-relaxed structure.

Peak list (8 most intense, 5° ≤ 2θ ≤ 70°, sorted by position)
2theta	I/Imax
15.30	100
16.70	60
18.41	10
26.37	20
29.68	10
33.77	19
37.33	14
47.88	10

Structural model:
```
46
Lattice="7.310 0.000 0.000 0.000 9.484 0.000 0.000 0.000 6.407" Properties=species:S:1:pos:R:3 pbc="T T T"
Si 0.000 0.000 0.000
Si 3.655 4.742 3.203
H 0.010 3.406 2.311
H 0.010 3.406 4.096
H 0.943 2.163 3.203
H 1.157 8.225 2.371
H 1.157 8.225 4.036
H 1.613 2.317 0.000
H 2.041 7.059 3.203
H 2.498 3.483 0.833
H 2.498 3.483 5.574
H 2.712 6.905 0.000
H 3.645 8.148 0.893
H 3.645 8.148 5.514
H 3.664 1.336 0.893
H 3.664 1.336 5.514
H 4.597 2.579 0.000
H 4.812 6.001 0.833
H 4.812 6.001 5.574
H 5.268 2.425 3.203
H 5.696 7.167 0.000
H 6.152 1.259 2.371
H 6.152 1.259 4.036
H 6.367 7.321 3.203
H 7.300 6.078 2.311
H 7.300 6.078 4.096
C 0.038 2.777 3.203
C 3.617 7.519 0.000
C 3.693 1.965 0.000
C 7.272 6.707 3.203
N 1.153 7.600 3.203
N 2.501 2.858 0.000
N 4.808 6.626 0.000
N 6.156 1.884 3.203
F 0.085 7.765 0.000
F 1.214 0.070 1.220
F 1.214 0.070 5.186
F 2.441 4.812 1.983
F 2.441 4.812 4.424
F 3.570 3.023 3.203
F 3.739 6.461 3.203
F 4.869 4.672 1.983
F 4.869 4.672 4.424
F 6.096 9.414 1.220
F 6.096 9.414 5.186
F 7.225 1.719 0.000
```

***

Simulated powder XRD pattern of CdC2S2I2N4 for Cu Kα X-rays, from a GGA-PBE-relaxed structure.

Peak list (8 most intense, 5° ≤ 2θ ≤ 70°, sorted by position)
2theta	I/Imax
9.29	59
15.83	100
17.27	50
22.04	88
22.71	44
23.46	86
26.61	58
27.21	60

Structural model:
```
44
Lattice="9.575 0.000 0.000 0.000 8.591 0.000 -1.385 0.000 12.809" Properties=species:S:1:pos:R:3 pbc="T T T"
Cd 1.760 0.273 4.647
Cd 1.068 4.023 11.052
Cd 7.123 4.568 1.757
Cd 6.430 8.319 8.162
C 2.468 5.575 1.476
C 1.776 7.312 7.880
C 3.244 0.853 1.866
C 2.551 3.443 8.270
C 5.639 5.148 4.539
C 4.947 7.739 10.943
C 6.414 1.279 4.929
C 5.722 3.016 11.334
S 3.516 5.396 0.030
S 2.824 7.491 6.434
S 3.259 0.286 9.281
S 3.951 4.009 2.876
S 4.239 4.582 9.933
S 4.931 8.305 3.528
S 5.367 1.101 6.375
S 4.674 3.195 12.779
I -0.580 6.063 9.561
I 0.112 6.824 3.157
I 0.445 1.234 11.851
I 1.137 3.062 5.446
I 7.053 5.529 7.363
I 7.745 7.358 0.958
I 8.078 1.767 9.652
I 8.770 2.529 3.248
N 1.538 6.295 0.993
N 0.846 6.592 7.398
N 2.782 5.110 2.716
N 2.089 7.777 9.120
N 3.188 1.255 0.740
N 2.495 3.041 7.145
N 3.390 0.568 3.098
N 2.698 3.727 9.502
N 5.493 4.864 3.307
N 4.800 8.023 9.712
N 5.695 5.550 5.664
N 5.003 7.337 12.069
N 6.101 0.814 3.689
N 5.409 3.482 10.093
N 7.345 1.999 5.411
N 6.653 2.296 11.816
```

***

Simulated powder XRD pattern of SbPC3S3N3Cl3O for Cu Kα X-rays, from a GGA-PBE-relaxed structure.

Peak list (8 most intense, 5° ≤ 2θ ≤ 70°, sorted by position)
2theta	I/Imax
8.62	100
21.21	34
22.93	30
24.53	58
26.05	53
31.43	52
44.12	27
45.95	31

Structural model:
```
60
Lattice="-7.257 7.257 7.257 7.257 -7.257 7.257 7.257 7.257 -7.257" Properties=species:S:1:pos:R:3 pbc="T T T"
Sb 1.554 1.554 -1.554
Sb 1.554 -1.554 1.554
Sb -1.554 1.554 1.554
Sb 5.702 5.702 5.702
P 4.743 4.743 -4.743
P 4.743 -4.743 4.743
P 2.514 2.514 2.514
P -4.743 4.743 4.743
C 9.227 2.116 -2.116
C 9.227 -2.116 2.116
C 5.141 5.141 -1.970
C 5.141 -1.970 5.141
C 5.286 2.116 2.116
C 2.116 9.227 -2.116
C 2.116 -2.116 9.227
C 2.116 5.286 2.116
C 2.116 2.116 5.286
C -1.970 5.141 5.141
C -2.116 9.227 2.116
C -2.116 2.116 9.227
S 7.706 1.889 -1.889
S 7.706 -1.889 1.889
S 6.807 1.889 1.889
S 5.368 5.368 -0.449
S 5.368 -0.449 5.368
S 1.889 7.706 -1.889
S 1.889 -1.889 7.706
S 1.889 6.807 1.889
S 1.889 1.889 6.807
S -1.889 7.706 1.889
S -1.889 1.889 7.706
S -0.449 5.368 5.368
N 10.412 2.287 -2.287
N 10.412 -2.287 2.287
N 4.970 4.970 -3.155
N 4.970 -3.155 4.970
N 4.101 2.287 2.287
N 2.287 4.101 2.287
N 2.287 2.287 4.101
N 2.287 10.412 -2.287
N 2.287 -2.287 10.412
N -3.155 4.970 4.970
N -2.287 10.412 2.287
N -2.287 2.287 10.412
Cl 3.939 1.441 -1.441
Cl 3.939 -1.441 1.441
Cl 1.441 3.939 -1.441
Cl 1.441 -1.441 3.939
Cl 10.575 1.441 1.441
Cl -1.441 3.939 1.441
Cl -1.441 1.441 3.939
Cl 5.815 5.815 3.318
Cl 5.815 3.318 5.815
Cl 3.318 5.815 5.815
Cl 1.441 10.575 1.441
Cl 1.441 1.441 10.575
O 5.602 5.602 8.911
O 12.859 1.655 -1.655
O 1.655 1.655 1.655
O -5.602 5.602 5.602
```

***

Simulated powder XRD pattern of Th2Br5 for Cu Kα X-rays, from a GGA-PBE-relaxed structure.

Peak list (8 most intense, 5° ≤ 2θ ≤ 70°, sorted by position)
2theta	I/Imax
10.84	62
18.83	38
21.78	19
28.94	55
30.99	100
36.51	25
44.40	73
55.13	25

Structural model:
```
21
Lattice="-5.771 5.771 5.771 5.771 -5.771 5.771 5.771 5.771 -5.771" Properties=species:S:1:pos:R:3 pbc="T T T"
Th 2.720 0.000 0.000
Th 8.823 0.000 0.000
Th 0.000 2.720 0.000
Th 0.000 0.000 2.720
Th 0.000 8.823 0.000
Th 0.000 0.000 8.823
Br 5.771 2.851 -2.851
Br 5.771 0.000 0.000
Br 5.771 -2.851 2.851
Br 2.851 5.771 -2.851
Br 2.921 2.921 0.000
Br 2.921 0.000 2.921
Br 2.851 -2.851 5.771
Br 5.771 2.851 2.851
Br 0.000 5.771 0.000
Br 0.000 0.000 5.771
Br 0.000 2.921 2.921
Br -2.851 5.771 2.851
Br -2.851 2.851 5.771
Br 2.851 5.771 2.851
Br 2.851 2.851 5.771
```

***

Simulated powder XRD pattern of Y6Co2Sn for Cu Kα X-rays, from a GGA-PBE-relaxed structure.

Peak list (8 most intense, 5° ≤ 2θ ≤ 70°, sorted by position)
2theta	I/Imax
29.54	21
31.85	100
34.13	30
34.39	48
34.72	32
34.91	17
37.68	22
59.18	22

Structural model:
```
18
Lattice="-4.774 4.844 4.990 4.774 -4.844 4.990 4.774 4.844 -4.990" Properties=species:S:1:pos:R:3 pbc="T T T"
Y 4.774 2.815 -2.661
Y 2.715 1.797 0.000
Y 6.834 1.797 0.000
Y 1.833 4.844 -1.786
Y 2.941 0.000 3.204
Y 0.000 2.029 2.329
Y 4.774 2.815 2.661
Y 1.833 4.844 1.786
Y 2.941 0.000 6.775
Y -2.059 3.047 4.990
Y 2.059 3.047 4.990
Y 0.000 2.029 7.650
Co 4.774 0.000 1.121
Co 0.000 3.497 0.000
Co 0.000 6.190 0.000
Co 0.000 4.844 3.868
Sn 0.000 0.000 0.000
Sn 0.000 0.000 4.990
```

***

Simulated powder XRD pattern of NiHg4 for Cu Kα X-rays, from a GGA-PBE-relaxed structure.

Peak list (8 most intense, 5° ≤ 2θ ≤ 70°, sorted by position)
2theta	I/Imax
20.31	4
28.88	92
35.56	2
41.30	100
51.17	26
55.61	1
59.83	17
67.77	35

Structural model:
```
5
Lattice="-3.092 3.092 3.092 3.092 -3.092 3.092 3.092 3.092 -3.092" Properties=species:S:1:pos:R:3 pbc="T T T"
Ni 0.000 0.000 0.000
Hg 1.546 1.546 -1.546
Hg 1.546 -1.546 1.546
Hg -1.546 1.546 1.546
Hg 1.546 1.546 1.546
```

***

Simulated powder XRD pattern of KAsH2O4 for Cu Kα X-rays, from a GGA-PBE-relaxed structure.

Peak list (8 most intense, 5° ≤ 2θ ≤ 70°, sorted by position)
2theta	I/Imax
16.70	53
23.16	86
28.69	22
29.36	100
32.98	30
44.73	65
53.33	17
67.16	17

Structural model:
```
16
Lattice="-3.841 3.841 3.671 3.841 -3.841 3.671 3.841 3.841 -3.671" Properties=species:S:1:pos:R:3 pbc="T T T"
K 0.000 0.000 0.000
K 0.000 3.841 1.836
As 3.841 0.000 1.836
As 0.000 0.000 3.671
H 1.921 2.642 -0.918
H 5.040 1.921 0.918
H 1.921 1.199 2.753
H -1.199 1.921 4.589
O 2.619 -0.708 0.843
O 3.133 2.619 -0.993
O 5.064 0.708 0.843
O 4.549 -1.222 2.828
O 0.708 1.222 2.679
O 1.222 -0.708 4.664
O 3.133 1.222 2.828
O 2.619 4.549 0.993
```